Record 1
Sm2ZnCu12Ni3: simulated PXRD pattern (copper Kα), based on a GGA-PBE-relaxed structure.

Largest 10 diffraction maxima, sorted by position, 2θ = 10–90°:
d [Å], 2theta, I_rel
3.157, 28.3, 13.9
2.844, 31.5, 15.8
2.532, 35.4, 33.1
2.362, 38.1, 17.9
2.339, 38.5, 11.6
2.121, 42.6, 100.0
2.104, 43.0, 11.8
2.064, 43.9, 16.8
2.048, 44.2, 48.4
1.474, 63.1, 11.4

Crystal structure
```
Sm2ZnCu12Ni3
1.0
4.2423 2.4493 4.1127
-4.2423 2.4493 4.1127
0.0000 -4.8986 4.1127
Sm Zn Cu Ni
2 1 12 3
Direct
0.2465 0.2465 0.2465 Sm
0.7535 0.7535 0.7535 Sm
0.5000 0.5000 0.5000 Zn
0.0751 0.0751 0.6526 Cu
0.0751 0.6526 0.0751 Cu
0.2243 0.6991 0.6991 Cu
0.3009 0.3009 0.7757 Cu
0.3009 0.7757 0.3009 Cu
0.3474 0.9249 0.9249 Cu
0.6526 0.0751 0.0751 Cu
0.6991 0.2243 0.6991 Cu
0.6991 0.6991 0.2243 Cu
0.7757 0.3009 0.3009 Cu
0.9249 0.3474 0.9249 Cu
0.9249 0.9249 0.3474 Cu
0.0000 0.5000 0.5000 Ni
0.5000 0.0000 0.5000 Ni
0.5000 0.5000 0.0000 Ni
```

=====

Record 2
Ba2Hg15Au2: simulated PXRD pattern (copper Kα), based on a GGA-PBE-relaxed structure.

Largest 10 diffraction maxima, sorted by position, 2θ = 10–90°:
d [Å], 2theta, I_rel
3.070, 29.1, 27.4
2.958, 30.2, 100.0
2.949, 30.3, 49.3
2.925, 30.6, 75.0
2.878, 31.1, 44.2
2.733, 32.8, 57.0
2.705, 33.1, 32.0
2.467, 36.4, 30.1
2.449, 36.7, 29.2
1.790, 51.0, 32.6

Crystal structure
```
Ba2Hg15Au2
1.0
7.7937 0.0000 0.0000
-0.8845 8.0414 0.0000
-3.0770 -0.4352 8.7750
Ba Hg Au
2 15 2
Direct
0.2337 0.1995 0.3380 Ba
0.7663 0.8005 0.6620 Ba
0.0000 0.5000 0.0000 Hg
0.0000 0.5000 0.5000 Hg
0.0682 0.1783 0.6824 Hg
0.1370 0.8802 0.0346 Hg
0.3095 0.9159 0.6443 Hg
0.3495 0.3400 0.9940 Hg
0.3502 0.7716 0.3434 Hg
0.4181 0.4900 0.6804 Hg
0.5000 0.0000 0.0000 Hg
0.5819 0.5100 0.3196 Hg
0.6498 0.2284 0.6566 Hg
0.6505 0.6600 0.0060 Hg
0.6905 0.0841 0.3557 Hg
0.8630 0.1198 0.9654 Hg
0.9318 0.8217 0.3176 Hg
0.1713 0.6555 0.8032 Au
0.8287 0.3445 0.1968 Au
```

=====

Record 3
CaSi5Pd7: simulated PXRD pattern (copper Kα), based on a GGA-PBE-relaxed structure.

Largest 10 diffraction maxima, sorted by position, 2θ = 10–90°:
d [Å], 2theta, I_rel
6.192, 14.3, 37.3
3.096, 28.8, 62.8
2.589, 34.6, 85.4
2.558, 35.1, 82.9
2.528, 35.5, 58.4
2.205, 40.9, 100.0
2.193, 41.2, 60.9
1.986, 45.7, 97.5
1.977, 45.9, 30.3
1.954, 46.5, 33.5

Crystal structure
```
CaSi5Pd7
1.0
5.0549 -4.4127 0.0000
5.0549 4.4127 0.0000
-2.6465 0.0000 4.4503
Ca Si Pd
1 5 7
Direct
0.0000 0.0000 0.0000 Ca
0.0012 0.4826 0.5013 Si
0.0011 0.4826 0.9829 Si
0.4826 0.0012 0.5013 Si
0.4826 0.0011 0.9829 Si
0.7683 0.7683 0.2668 Si
0.1750 0.7698 0.4732 Pd
0.2268 0.2268 0.7266 Pd
0.3388 0.3388 0.3383 Pd
0.3608 0.6809 0.0215 Pd
0.6687 0.6687 0.6684 Pd
0.6809 0.3608 0.0215 Pd
0.7698 0.1750 0.4732 Pd
```

=====

Record 4
Tl4Cd5: simulated PXRD pattern (copper Kα), based on a GGA-PBE-relaxed structure.

Largest 10 diffraction maxima, sorted by position, 2θ = 10–90°:
d [Å], 2theta, I_rel
3.292, 27.1, 6.7
2.740, 32.7, 100.0
2.465, 36.5, 18.9
2.331, 38.6, 31.3
1.693, 54.2, 23.4
1.648, 55.8, 10.6
1.471, 63.2, 14.8
1.412, 66.2, 24.2
1.370, 68.5, 11.2
1.097, 89.3, 11.3

Crystal structure
```
Tl4Cd5
1.0
-4.9445 4.9445 2.4646
4.9445 -4.9445 2.4646
4.9445 4.9445 -2.4646
Tl Cd
4 5
Direct
0.0000 0.3226 0.3226 Tl
0.0000 0.6774 0.6774 Tl
0.3226 0.0000 0.3226 Tl
0.6774 0.0000 0.6774 Tl
0.0000 0.0000 0.0000 Cd
0.3392 0.3392 0.6783 Cd
0.3392 0.6608 0.0000 Cd
0.6608 0.3392 0.0000 Cd
0.6608 0.6608 0.3217 Cd
```

=====

Record 5
Sm4Br: simulated PXRD pattern (copper Kα), based on a GGA-PBE-relaxed structure.

Largest 10 diffraction maxima, sorted by position, 2θ = 10–90°:
d [Å], 2theta, I_rel
5.567, 15.9, 7.5
3.214, 27.8, 100.0
2.783, 32.2, 89.2
1.968, 46.1, 65.5
1.678, 54.7, 46.0
1.607, 57.3, 22.8
1.392, 67.3, 10.6
1.277, 74.3, 18.5
1.245, 76.5, 29.3
1.136, 85.4, 22.5

Crystal structure
```
Sm4Br
1.0
5.5667 0.0000 0.0000
0.0000 5.5667 0.0000
0.0000 0.0000 5.5667
Sm Br
4 1
Direct
0.0000 0.0000 0.0000 Sm
0.0000 0.5000 0.5000 Sm
0.5000 0.0000 0.5000 Sm
0.5000 0.5000 0.0000 Sm
0.5000 0.5000 0.5000 Br
```